1.
Sm5CuSe8: computed PXRD pattern (Cu Ka), based on a structure optimized by DFT (PBE).

Largest 6 diffraction maxima, sorted by position, 10 to 90 degrees two-theta:
h k l, 2theta, I_rel
1 2 1, 24.88, 231
1 0 3, 31.60, 457
3 1 0, 32.41, 1000
2 1 3, 37.88, 384
1 3 2, 38.29, 230
2 3 1, 38.54, 256

Crystal structure
Cell lengths 8.724, 8.724, 8.982 Å; angles 90.00, 90.00, 90.00 degrees
Space group I-4 (No. 82)
Unique sites:
Sm 0.000 0.000 0.000 x2
Sm 0.130 0.752 0.619 x8
Cu 0.000 0.500 0.250 x2
Se 0.065 0.806 0.296 x8
Se 0.076 0.683 0.933 x8



2.
Sm3CuSe6: computed PXRD pattern (Cu Ka), based on a structure optimized by DFT (PBE).

Largest 6 diffraction maxima, sorted by position, 10 to 90 degrees two-theta:
h k l, 2theta, I_rel
1 3 1, 22.90, 738
1 6 1, 35.81, 680
1 0 3, 36.20, 659
0 6 2, 38.97, 1000
2 6 0, 40.39, 551
3 3 1, 42.39, 526

Crystal structure
Cell lengths 7.234, 17.035, 7.955 Å; angles 90.00, 90.59, 90.00 degrees
Space group P2_1/m (No. 11)
Unique sites:
Sm 0.228 0.090 0.442 x4
Sm 0.244 0.587 0.059 x4
Sm 0.261 0.250 0.057 x2
Sm 0.264 0.750 0.445 x2
Cu 0.397 0.529 0.704 x4
Se 0.069 0.174 0.750 x4
Se 0.073 0.000 0.753 x4
Se 0.079 0.675 0.755 x4
Se 0.374 0.250 0.404 x2
Se 0.384 0.081 0.097 x4
Se 0.385 0.750 0.103 x2
Se 0.391 0.581 0.410 x4



3.
SmCuSe2: computed PXRD pattern (Cu Ka), based on a structure optimized by DFT (PBE).

Largest 6 diffraction maxima, sorted by position, 10 to 90 degrees two-theta:
h k l, 2theta, I_rel
1 1 1, 22.67, 639
1 2 -1, 29.65, 774
2 1 -1, 30.85, 1000
1 1 2, 32.11, 557
0 2 2, 34.86, 819
0 1 3, 39.83, 379

Crystal structure
Cell lengths 6.688, 7.438, 7.172 Å; angles 90.00, 96.31, 90.00 degrees
Space group P2_1/c (No. 14)
Unique sites:
Sm 0.194 0.044 0.299 x4
Cu 0.429 0.660 0.455 x4
Se 0.077 0.724 0.498 x4
Se 0.401 0.112 0.720 x4



4.
Sm3CuSe6: computed PXRD pattern (Cu Ka), based on a structure optimized by DFT (PBE).

Largest 6 diffraction maxima, sorted by position, 10 to 90 degrees two-theta:
h k l, 2theta, I_rel
1 1 3, 22.73, 1000
2 2 0, 33.64, 547
1 1 6, 35.42, 565
3 1 0, 36.28, 915
2 0 6, 38.67, 744
1 3 3, 42.31, 812

Crystal structure
Cell lengths 7.909, 7.211, 17.286 Å; angles 90.00, 90.00, 90.00 degrees
Space group Pca2_1 (No. 29)
Unique sites:
Sm 0.056 0.228 0.000 x4
Sm 0.056 0.267 0.665 x4
Sm 0.060 0.240 0.322 x4
Cu 0.207 0.603 0.938 x4
Se 0.091 0.388 0.495 x4
Se 0.096 0.387 0.832 x4
Se 0.099 0.378 0.161 x4
Se 0.246 0.925 0.734 x4
Se 0.248 0.924 0.592 x4
Se 0.249 0.930 0.913 x4



5.
Tb3CuSnSe7: computed PXRD pattern (Cu Ka), based on a structure optimized by DFT (PBE).

Largest 6 diffraction maxima, sorted by position, 10 to 90 degrees two-theta:
h k l, 2theta, I_rel
2 0 1, 24.23, 637
1 0 2, 29.22, 376
2 1 1, 29.90, 364
2 0 2, 34.14, 599
2 2 0, 34.92, 1000
2 0 3, 46.59, 450

Crystal structure
Cell lengths 10.2776, 10.2776, 6.5076 Å; angles 90.00, 90.00, 120.00 degrees
Space group P6_3 (No. 173)
Unique sites:
Tb 0.1505 0.7930 0.0000 x6
Cu 0.0000 0.0000 0.0988 x2
Sn 0.3333 0.6667 0.4283 x2
Se 0.0787 0.5180 0.2466 x6
Se 0.1158 0.8516 0.5720 x6
Se 0.3333 0.6667 0.8208 x2



6.
Y3CuSnSe7: computed PXRD pattern (Cu Ka), based on a structure optimized by DFT (PBE).

Largest 6 diffraction maxima, sorted by position, 10 to 90 degrees two-theta:
h k l, 2theta, I_rel
1 0 2, 29.12, 513
1 2 1, 29.92, 617
3 0 1, 33.22, 285
2 0 2, 34.06, 587
2 2 0, 34.99, 1000
2 0 3, 46.42, 289

Crystal structure
Cell lengths 10.2567, 10.2567, 6.5361 Å; angles 90.00, 90.00, 120.00 degrees
Space group P6_3 (No. 173)
Unique sites:
Y 0.1544 0.3574 0.0000 x6
Cu 0.0000 0.0000 0.3964 x2
Sn 0.3333 0.6667 0.5694 x2
Se 0.0781 0.5562 0.7520 x6
Se 0.1181 0.2646 0.4253 x6
Se 0.3333 0.6667 0.1772 x2



7.
ZnCu2SnSe4: computed PXRD pattern (Cu Ka), based on a structure optimized by DFT (PBE).

Largest 6 diffraction maxima, sorted by position, 10 to 90 degrees two-theta:
h k l, 2theta, I_rel
1 1 2, 26.81, 1000
2 2 0, 44.50, 735
3 1 2, 52.72, 437
3 3 2, 71.40, 167
4 2 4, 81.97, 227
5 1 2, 88.15, 128

Crystal structure
Cell lengths 5.758, 5.758, 11.521 Å; angles 90.00, 90.00, 90.00 degrees
Space group I-42m (No. 121)
Unique sites:
Zn 0.000 0.000 0.000 x2
Cu 0.000 0.500 0.250 x4
Sn 0.000 0.000 0.500 x2
Se 0.241 0.241 0.865 x8



8.
ZnCu2SnSe4: computed PXRD pattern (Cu Ka), based on a structure optimized by DFT (PBE).

Largest 6 diffraction maxima, sorted by position, 10 to 90 degrees two-theta:
h k l, 2theta, I_rel
1 1 2, 26.80, 1000
2 2 0, 44.40, 246
2 0 4, 44.53, 492
3 1 2, 52.62, 293
1 1 6, 52.85, 147
4 2 4, 81.84, 153

Crystal structure
Cell lengths 5.771, 5.771, 11.480 Å; angles 90.00, 90.00, 90.00 degrees
Space group I-4 (No. 82)
Unique sites:
Zn 0.000 0.000 0.000 x2
Cu 0.000 0.000 0.500 x2
Cu 0.000 0.500 0.750 x2
Sn 0.000 0.500 0.250 x2
Se 0.233 0.740 0.620 x8